1.
# Nd3NiHg
Computed X-ray diffraction stick pattern, Cu Kα, 1.54184 Å. Input: a crystal structure in Alexandria, relaxed with GGA-PBE.
Peak positions follow from Bragg's law for the DFT cell and can differ from measured ones.

Largest 10 diffraction maxima, low angle first, 2θ from 5° to 70°:
d/Å, I/Imax
3.267, 41
3.164, 54
2.954, 82
2.863, 84
2.844, 52
2.685, 66
2.457, 100
2.340, 50
2.212, 51
2.095, 49

Atomic structure:
Cell: 10.196 6.914 8.801 Å, 90.00 113.37 90.00°
Space group P2_1/c (No. 14)
Symmetry-distinct sites (fractional):
Nd1 0.087 0.068 0.218 x4
Nd2 0.347 0.165 0.624 x4
Nd3 0.348 0.674 0.482 x4
Ni1 0.408 0.037 0.347 x4
Hg1 0.107 0.650 0.088 x4

2.
# Nd2NpHg
Computed X-ray diffraction stick pattern, Cu Kα, 1.54184 Å. Input: a crystal structure in Alexandria, relaxed with GGA-PBE.
Peak positions follow from Bragg's law for the DFT cell and can differ from measured ones.

Largest 10 diffraction maxima, low angle first, 2θ from 5° to 70°:
d/Å, I/Imax
2.995, 51
2.944, 26
2.915, 100
2.732, 18
2.468, 38
2.282, 83
1.706, 37
1.535, 19
1.482, 38
1.429, 20

Atomic structure:
Cell: 3.4111 3.4111 35.9350 Å, 90.00 90.00 120.00°
Space group R-3m (No. 166, hexagonal axes)
Symmetry-distinct sites (fractional):
Nd1 0.0000 0.0000 0.0929 x6
Np1 0.0000 0.0000 0.0000 x3
Hg1 0.0000 0.0000 0.5000 x3

3.
# Nd2HgOsO8
Computed X-ray diffraction stick pattern, Cu Kα, 1.54184 Å. Input: a crystal structure in Alexandria, relaxed with GGA-PBE.
Peak positions follow from Bragg's law for the DFT cell and can differ from measured ones.

Largest 10 diffraction maxima, low angle first, 2θ from 5° to 70°:
d/Å, I/Imax
3.538, 88
3.281, 56
3.085, 100
2.912, 87
2.406, 36
1.943, 30
1.913, 16
1.897, 56
1.777, 16
1.683, 26

Atomic structure:
Cell: 6.583 7.077 7.677 Å, 90.00 94.64 90.00°
Space group C2/m (No. 12)
Symmetry-distinct sites (fractional):
Nd1 0.051 0.000 0.250 x4
Hg1 0.000 0.500 0.000 x2
Os1 0.000 0.500 0.500 x2
O1 0.058 0.316 0.675 x8
O2 0.194 0.000 0.982 x4
O3 0.226 0.000 0.544 x4

4.
# NdPaHg2O8
Computed X-ray diffraction stick pattern, Cu Kα, 1.54184 Å. Input: a crystal structure in Alexandria, relaxed with GGA-PBE.
Peak positions follow from Bragg's law for the DFT cell and can differ from measured ones.

Largest 10 diffraction maxima, low angle first, 2θ from 5° to 70°:
d/Å, I/Imax
3.691, 100
2.990, 94
2.610, 30
1.966, 74
1.846, 16
1.651, 18
1.635, 20
1.571, 21
1.495, 12
1.346, 18

Atomic structure:
Cell: 7.383 7.383 7.295 Å, 90.00 90.00 90.00°
Space group I-4m2 (No. 119)
Symmetry-distinct sites (fractional):
Nd1 0.000 0.000 0.000 x2
Pa1 0.000 0.500 0.250 x2
Hg1 0.000 0.000 0.500 x2
Hg2 0.000 0.500 0.750 x2
O1 0.000 0.192 0.269 x8
O2 0.000 0.330 0.990 x8

5.
# Nd4TlHgO
Computed X-ray diffraction stick pattern, Cu Kα, 1.54184 Å. Input: a crystal structure in Alexandria, relaxed with GGA-PBE.
Peak positions follow from Bragg's law for the DFT cell and can differ from measured ones.

Largest 10 diffraction maxima, low angle first, 2θ from 5° to 70°:
d/Å, I/Imax
3.434, 31
3.170, 72
2.750, 28
2.730, 30
2.639, 100
2.428, 71
1.820, 33
1.814, 18
1.715, 17
1.439, 32

Atomic structure:
Cell: 6.860 16.501 6.877 Å, 90.00 90.00 90.00°
Space group Cmcm (No. 63)
Symmetry-distinct sites (fractional):
Nd1 0.000 0.071 0.250 x4
Nd2 0.000 0.420 0.250 x4
Nd3 0.250 0.250 0.000 x8
Tl1 0.000 0.389 0.750 x4
Hg1 0.000 0.117 0.750 x4
O1 0.000 0.254 0.250 x4

6.
# NdYHgOs
Computed X-ray diffraction stick pattern, Cu Kα, 1.54184 Å. Input: a crystal structure in Alexandria, relaxed with GGA-PBE.
Peak positions follow from Bragg's law for the DFT cell and can differ from measured ones.

Largest 8 diffraction maxima, low angle first, 2θ from 5° to 70°:
d/Å, I/Imax
4.169, 2
3.610, 7
2.553, 100
2.177, 1
2.084, 2
1.805, 18
1.615, 3
1.474, 37

Atomic structure:
Cell: 7.220 7.220 7.220 Å, 90.00 90.00 90.00°
Space group F-43m (No. 216)
Symmetry-distinct sites (fractional):
Nd1 0.000 0.000 0.000 x4
Y1 0.000 0.000 0.500 x4
Hg1 0.250 0.250 0.750 x4
Os1 0.250 0.250 0.250 x4

7.
# Nd3HgP2Rh9
Computed X-ray diffraction stick pattern, Cu Kα, 1.54184 Å. Input: a crystal structure in Alexandria, relaxed with GGA-PBE.
Peak positions follow from Bragg's law for the DFT cell and can differ from measured ones.

Largest 10 diffraction maxima, low angle first, 2θ from 5° to 70°:
d/Å, I/Imax
9.619, 15
5.245, 19
3.545, 15
2.530, 63
2.405, 29
2.302, 100
2.030, 28
1.833, 16
1.514, 25
1.368, 20

Atomic structure:
Cell: 6.0563 6.0563 9.6192 Å, 90.00 90.00 120.00°
Space group P-3m1 (No. 164)
Symmetry-distinct sites (fractional):
Nd1 0.0000 0.0000 0.0000 x1
Nd2 0.3333 0.6667 0.7122 x2
Hg1 0.0000 0.0000 0.5000 x1
P1 0.3333 0.6667 0.1560 x2
Rh1 0.0000 0.5000 0.0000 x3
Rh2 0.1497 0.2994 0.2630 x6

8.
# Nd2Hg3Pb
Computed X-ray diffraction stick pattern, Cu Kα, 1.54184 Å. Input: a crystal structure in Alexandria, relaxed with GGA-PBE.
Peak positions follow from Bragg's law for the DFT cell and can differ from measured ones.

Largest 10 diffraction maxima, low angle first, 2θ from 5° to 70°:
d/Å, I/Imax
3.664, 18
2.813, 100
2.534, 94
2.084, 24
1.882, 32
1.832, 12
1.511, 31
1.485, 37
1.463, 17
1.358, 6

Atomic structure:
Cell: 7.328 10.135 17.551 Å, 90.00 90.00 90.00°
Space group Fmmm (No. 69)
Symmetry-distinct sites (fractional):
Nd1 0.245 0.000 0.000 x8
Nd2 0.250 0.250 0.250 x8
Hg1 0.000 0.000 0.164 x8
Hg2 0.000 0.247 0.082 x16
Pb1 0.000 0.000 0.334 x8

9.
# Nd4Hg5Pb
Computed X-ray diffraction stick pattern, Cu Kα, 1.54184 Å. Input: a crystal structure in Alexandria, relaxed with GGA-PBE.
Peak positions follow from Bragg's law for the DFT cell and can differ from measured ones.

Largest 10 diffraction maxima, low angle first, 2θ from 5° to 70°:
d/Å, I/Imax
3.865, 2
2.733, 52
2.692, 100
2.209, 1
1.932, 19
1.876, 9
1.570, 40
1.546, 19
1.366, 6
1.346, 12

Atomic structure:
Cell: 3.865 3.865 18.756 Å, 90.00 90.00 90.00°
Space group P4/mmm (No. 123)
Symmetry-distinct sites (fractional):
Nd1 0.000 0.000 0.100 x2
Nd2 0.000 0.000 0.305 x2
Hg1 0.500 0.500 0.000 x1
Hg2 0.500 0.500 0.199 x2
Hg3 0.500 0.500 0.401 x2
Pb1 0.000 0.000 0.500 x1

10.
# Nd2HgPb
Computed X-ray diffraction stick pattern, Cu Kα, 1.54184 Å. Input: a crystal structure in Alexandria, relaxed with GGA-PBE.
Peak positions follow from Bragg's law for the DFT cell and can differ from measured ones.

Largest 7 diffraction maxima, low angle first, 2θ from 5° to 70°:
d/Å, I/Imax
3.887, 3
2.748, 100
2.244, 1
1.943, 19
1.738, 2
1.587, 39
1.374, 12

Atomic structure:
Cell: 7.774 7.774 7.774 Å, 90.00 90.00 90.00°
Space group Fm-3m (No. 225)
Symmetry-distinct sites (fractional):
Nd1 0.250 0.250 0.250 x8
Hg1 0.000 0.000 0.000 x4
Pb1 0.000 0.000 0.500 x4

11.
# Nd3Hg4Pb
Computed X-ray diffraction stick pattern, Cu Kα, 1.54184 Å. Input: a crystal structure in Alexandria, relaxed with GGA-PBE.
Peak positions follow from Bragg's law for the DFT cell and can differ from measured ones.

Largest 10 diffraction maxima, low angle first, 2θ from 5° to 70°:
d/Å, I/Imax
3.822, 3
2.974, 6
2.739, 98
2.668, 100
1.911, 35
1.596, 15
1.554, 36
1.540, 19
1.500, 5
1.369, 9

Atomic structure:
Cell: 5.3354 5.3354 27.2048 Å, 90.00 90.00 120.00°
Space group R-3m (No. 166, hexagonal axes)
Symmetry-distinct sites (fractional):
Nd1 0.0000 0.0000 0.0000 x3
Nd2 0.0000 0.0000 0.2413 x6
Hg1 0.0000 0.0000 0.1192 x6
Hg2 0.0000 0.0000 0.3692 x6
Pb1 0.0000 0.0000 0.5000 x3

12.
# NdHg3Pb
Computed X-ray diffraction stick pattern, Cu Kα, 1.54184 Å. Input: a crystal structure in Alexandria, relaxed with GGA-PBE.
Peak positions follow from Bragg's law for the DFT cell and can differ from measured ones.

Largest 10 diffraction maxima, low angle first, 2θ from 5° to 70°:
d/Å, I/Imax
2.777, 9
2.754, 100
2.652, 10
2.450, 29
2.429, 14
2.284, 10
1.725, 10
1.671, 8
1.491, 9
1.467, 15

Atomic structure:
Cell: 16.826 4.902 6.657 Å, 90.00 97.87 90.00°
Space group C2/m (No. 12)
Symmetry-distinct sites (fractional):
Nd1 0.124 0.000 0.026 x4
Hg1 0.101 0.000 0.510 x4
Hg2 0.188 0.500 0.766 x4
Hg3 0.209 0.500 0.293 x4
Pb1 0.004 0.500 0.239 x4